This entry pairs a crystal structure of YReN3 with its theoretical powder diffractogram. Radiation: Cu Kα X-rays. Structure: a crystal structure in the Materials Project, relaxed with GGA-PBE.
No peak broadening, texture or thermal motion is included.

Most intense lines, 10 to 90 degrees two-theta, in order of rising 2θ:
hkl 0 2 1, 2θ 23.82, I 26
hkl 2 2 0, 2θ 25.15, I 22
hkl 2 2 -1, 2θ 25.63, I 100
hkl 3 1 0, 2θ 27.53, I 35
hkl 0 0 2, 2θ 30.76, I 43
hkl 2 2 1, 2θ 33.01, I 30
hkl 4 0 -2, 2θ 36.25, I 20
hkl 2 2 -3, 2θ 46.90, I 22
hkl 5 3 -1, 2θ 49.35, I 31
hkl 5 3 1, 2θ 60.41, I 20

Cell and atoms:
Cell: 11.232 9.749 6.335 Å, 90.00 113.41 90.00°
Space group C2/c (No. 15)
Inequivalent atoms, fractional coordinates:
Y: 0.000 0.094 0.250 (multiplicity 4)
Y: 0.000 0.289 0.750 (multiplicity 4)
Re: 0.209 0.414 0.215 (multiplicity 8)
N: 0.113 0.106 0.663 (multiplicity 8)
N: 0.121 0.253 0.159 (multiplicity 8)
N: 0.153 0.484 0.913 (multiplicity 8)